The following is a calculated X-ray diffraction stick pattern of Mg2AlCd2. It was derived from a DFT-relaxed cell (GGA-PBE, Alexandria), using λ = 1.5418 Å (Cu Kα).
Neutral-atom scattering factors, no anomalous dispersion.

```
10
Lattice="7.1570 0.0000 0.0000 0.0000 7.1570 0.0000 0.0000 0.0000 4.3478" Properties=species:S:1:pos:R:3 pbc="T T T"
Mg 1.1758 2.4027 0.0000
Mg 2.4027 5.9812 0.0000
Mg 4.7542 1.1758 0.0000
Mg 5.9812 4.7542 0.0000
Al 0.0000 0.0000 2.1739
Al 3.5785 3.5785 2.1739
Cd 1.0106 4.5891 2.1739
Cd 2.5679 1.0106 2.1739
Cd 4.5891 6.1464 2.1739
Cd 6.1464 2.5679 2.1739
```

Peak list (10 most intense, 2θ = 10–80°, sorted by position)
2theta, I/Imax
17.52, 18
20.43, 45
27.87, 36
34.81, 100
39.83, 25
41.54, 16
45.17, 17
50.77, 13
58.91, 15
74.68, 14



The following is a calculated X-ray diffraction stick pattern of CeAl10Zn2. It was derived from a DFT-relaxed cell (GGA-PBE, Alexandria), using λ = 1.5418 Å (Cu Kα).
Neutral-atom scattering factors, no anomalous dispersion.

```
13
Lattice="0.0000 6.3687 6.6214 2.6899 0.0000 6.6214 2.6899 6.3687 0.0000" Properties=species:S:1:pos:R:3 pbc="T T T"
Ce 0.0000 0.0000 0.0000
Al 1.3449 3.1843 0.0000
Al 2.6899 2.2659 4.2807
Al 2.6899 4.9967 5.1573
Al 2.6899 2.2659 8.9621
Al 2.6899 7.7407 5.1573
Al 1.3449 3.1843 6.6214
Al 2.6899 4.9967 8.0855
Al 2.6899 10.4715 4.2807
Al 2.6899 7.7407 8.0855
Al 2.6899 10.4715 8.9621
Zn 1.3449 0.0000 3.3107
Zn 1.3449 6.3687 3.3107
```

Peak list (10 most intense, 2θ = 10–80°, sorted by position)
2theta, I/Imax
13.91, 67
19.12, 36
27.05, 32
27.60, 28
30.43, 33
33.70, 49
38.54, 45
38.80, 100
39.26, 63
39.74, 42